Record 1
NiPd3: computed PXRD pattern (Cu Ka), based on a cell relaxed with GGA-PBE.
Intensities are scaled so that the largest is 100.

Atomic structure:
```
data_NiPd3
_space_group_name_H-M_alt 'P 63/m m c'
_space_group_IT_number 194
_space_group_name_Hall '-P 6c 2c'
_cell_length_a 5.3900
_cell_length_b 5.3900
_cell_length_c 4.4205
_cell_angle_alpha 90.00
_cell_angle_beta 90.00
_cell_angle_gamma 120.00
loop_
_atom_site_label
_atom_site_type_symbol
_atom_site_fract_x
_atom_site_fract_y
_atom_site_fract_z
Ni1 Ni 0.3333 0.6667 0.2500
Pd1 Pd 0.1693 0.3386 0.7500
```

Principal peaks in the range 10 to 90 degrees two-theta, most intense first:
- 2θ = 43.9°, I 100, (2 0 1)
- 2θ = 40.8°, I 27, (0 0 2)
- 2θ = 38.6°, I 24, (2 0 0)
- 2θ = 84.1°, I 19, (2 2 2)
- 2θ = 76.4°, I 18, (2 0 3)
- 2θ = 69.8°, I 16, (2 2 0)
- 2θ = 57.4°, I 15, (2 0 2)
- 2θ = 86.2°, I 14, (4 0 1)
- 2θ = 27.8°, I 5, (1 0 1)
- 2θ = 88.5°, I 3, (0 0 4)

Record 2
Sc2NiPd: computed PXRD pattern (Cu Ka), based on a cell relaxed with GGA-PBE.
Intensities are scaled so that the largest is 100.

Atomic structure:
```
data_Sc2NiPd
_space_group_name_H-M_alt 'F m -3 m'
_space_group_IT_number 225
_space_group_name_Hall '-F 4 2 3'
_cell_length_a 6.500
_cell_length_b 6.500
_cell_length_c 6.500
_cell_angle_alpha 90.00
_cell_angle_beta 90.00
_cell_angle_gamma 90.00
loop_
_atom_site_label
_atom_site_type_symbol
_atom_site_fract_x
_atom_site_fract_y
_atom_site_fract_z
Sc1 Sc 0.250 0.250 0.250
Ni1 Ni 0.000 0.000 0.000
Pd1 Pd 0.000 0.000 0.500
```

Principal peaks in the range 10 to 90 degrees two-theta, most intense first:
- 2θ = 39.2°, I 100, (2 2 0)
- 2θ = 71.1°, I 31, (4 2 2)
- 2θ = 56.6°, I 16, (4 0 0)
- 2θ = 27.4°, I 13, (2 0 0)
- 2θ = 84.3°, I 10, (4 4 0)
- 2θ = 23.7°, I 7, (1 1 1)
- 2θ = 64.1°, I 5, (4 2 0)
- 2θ = 48.5°, I 4, (2 2 2)
- 2θ = 46.3°, I 3, (3 1 1)
- 2θ = 62.3°, I 1, (3 3 1)

Record 3
SiNiPd: computed PXRD pattern (Cu Ka), based on a cell relaxed with GGA-PBE.
Intensities are scaled so that the largest is 100.

Atomic structure:
```
data_SiNiPd
_space_group_name_H-M_alt 'P -6 2 m'
_space_group_IT_number 189
_space_group_name_Hall 'P -6 -2'
_cell_length_a 6.1270
_cell_length_b 6.1270
_cell_length_c 3.4872
_cell_angle_alpha 90.00
_cell_angle_beta 90.00
_cell_angle_gamma 120.00
loop_
_atom_site_label
_atom_site_type_symbol
_atom_site_fract_x
_atom_site_fract_y
_atom_site_fract_z
Si1 Si 0.0000 0.0000 0.0000
Si2 Si 0.3333 0.6667 0.5000
Ni1 Ni 0.0000 0.2534 0.5000
Pd1 Pd 0.0000 0.5999 0.0000
```

Principal peaks in the range 10 to 90 degrees two-theta, most intense first:
- 2θ = 39.1°, I 100, (1 1 1)
- 2θ = 42.8°, I 48, (2 0 1)
- 2θ = 45.2°, I 37, (2 1 0)
- 2θ = 29.2°, I 19, (1 1 0)
- 2θ = 69.3°, I 18, (3 1 1)
- 2θ = 52.5°, I 18, (0 0 2)
- 2θ = 71.7°, I 17, (2 1 2)
- 2θ = 51.7°, I 17, (3 0 0)
- 2θ = 84.3°, I 15, (3 2 1)
- 2θ = 63.2°, I 10, (3 1 0)

Record 4
Si2NiPd: computed PXRD pattern (Cu Ka), based on a cell relaxed with GGA-PBE.
Intensities are scaled so that the largest is 100.

Atomic structure:
```
data_Si2NiPd
_space_group_name_H-M_alt 'P m c 21'
_space_group_IT_number 26
_cell_length_a 3.417
_cell_length_b 5.909
_cell_length_c 5.429
_cell_angle_alpha 90.00
_cell_angle_beta 90.00
_cell_angle_gamma 90.00
loop_
_space_group_symop_operation_xyz
'x,y,z'
'-x,-y,z+1/2'
'-x,y,z'
'x,-y,z+1/2'
loop_
_atom_site_label
_atom_site_type_symbol
_atom_site_fract_x
_atom_site_fract_y
_atom_site_fract_z
Si1 Si 0.000 0.151 0.000
Si2 Si 0.500 0.307 0.645
Ni1 Ni 0.500 0.054 0.314
Pd1 Pd 0.000 0.432 0.326
```

Principal peaks in the range 10 to 90 degrees two-theta, most intense first:
- 2θ = 45.4°, I 100, (1 1 2)
- 2θ = 30.2°, I 84, (1 1 0)
- 2θ = 43.8°, I 56, (1 2 1)
- 2θ = 53.7°, I 29, (2 0 0)
- 2θ = 33.0°, I 29, (0 0 2)
- 2θ = 49.2°, I 26, (0 3 1)
- 2θ = 34.5°, I 24, (0 2 1)
- 2θ = 77.4°, I 17, (1 1 4)
- 2θ = 22.2°, I 16, (0 1 1)
- 2θ = 75.8°, I 13, (2 3 1)